No. 1
The following is a theoretical powder diffraction line list of BC4. It was derived from a PBE-relaxed structure, using CuKα.
No peak broadening, texture or thermal motion is included.

Peak list (10 most intense, 2θ from 10° to 90°, sorted by position)
2θ (°)	d [Å]	I_rel
42.80	2.113	99
42.94	2.106	100
72.85	1.298	26
72.96	1.297	13
73.34	1.291	13
73.82	1.284	25
87.63	1.114	8
87.91	1.111	8
89.05	1.099	16
89.49	1.095	8

Atomic structure:
Lattice parameters (Å, degrees): 4.4470 4.4470 5.7421 129.37 129.37 48.37
Sites, in units of the cell vectors:
B  0.1992  0.1992  0.0980
B  0.8008  0.8008  0.9020
C  0.1601  0.6649  0.2152
C  0.3351  0.8399  0.7848
C  0.3969  0.4000  0.6971
C  0.5607  0.0486  0.4086
C  0.6000  0.6031  0.3029
C  0.7286  0.2714  0.0000
C  0.9514  0.4393  0.5914
C  0.9986  0.0014  0.5000

No. 2
The following is a theoretical powder diffraction line list of B5C7. It was derived from a PBE-relaxed structure, using CuKα.
No peak broadening, texture or thermal motion is included.

Peak list (10 most intense, 2θ from 10° to 90°, sorted by position)
2θ (°)	d [Å]	I_rel
12.96	6.832	43
39.57	2.277	41
42.52	2.126	100
43.05	2.101	54
69.16	1.358	12
69.41	1.354	26
72.49	1.304	14
74.24	1.277	22
82.37	1.171	12
88.18	1.108	16

Atomic structure:
Lattice parameters (Å, degrees): 4.3963 2.6079 6.8326 90.00 90.83 90.00
Sites, in units of the cell vectors:
B  0.0000  0.0000  0.0000
B  0.0021  0.0000  0.7558
B  0.3863  0.0000  0.6277
B  0.4887  0.5000  0.9817
B  0.7937  0.5000  0.6220
C  0.1549  0.5000  0.0986
C  0.1625  0.5000  0.3195
C  0.3316  0.0000  0.3941
C  0.4608  0.5000  0.7456
C  0.6496  0.0000  0.0847
C  0.6586  0.0000  0.3058
C  0.8234  0.5000  0.3869

No. 3
The following is a theoretical powder diffraction line list of BC. It was derived from a PBE-relaxed structure, using CuKα.
No peak broadening, texture or thermal motion is included.

Peak list (10 most intense, 2θ from 10° to 90°, sorted by position)
2θ (°)	d [Å]	I_rel
11.62	7.617	6
16.46	5.386	100
23.36	3.808	9
37.06	2.426	3
37.33	2.409	14
40.80	2.212	9
42.56	2.124	6
47.76	1.904	5
70.93	1.329	3
75.83	1.255	5

Atomic structure:
Lattice parameters (Å, degrees): 7.6168 7.6168 2.7168 90.00 90.00 90.00
Sites, in units of the cell vectors:
B  0.0675  0.6027  0.0000
B  0.2337  0.3274  0.5000
B  0.3274  0.7663  0.5000
B  0.3973  0.0675  0.0000
B  0.6027  0.9325  0.0000
B  0.6726  0.2337  0.5000
B  0.7663  0.6726  0.5000
B  0.9325  0.3973  0.0000
C  0.1533  0.3887  0.0000
C  0.1600  0.6491  0.5000
C  0.3509  0.1600  0.5000
C  0.3887  0.8467  0.0000
C  0.6113  0.1533  0.0000
C  0.6491  0.8400  0.5000
C  0.8400  0.3509  0.5000
C  0.8467  0.6113  0.0000

No. 4
The following is a theoretical powder diffraction line list of B3C2. It was derived from a PBE-relaxed structure, using CuKα.
No peak broadening, texture or thermal motion is included.

Peak list (10 most intense, 2θ from 10° to 90°, sorted by position)
2θ (°)	d [Å]	I_rel
20.89	4.252	12
21.47	4.138	25
39.94	2.257	100
43.61	2.075	39
45.12	2.010	36
67.49	1.388	20
69.74	1.348	27
72.47	1.304	13
72.63	1.302	12
89.62	1.094	10

Atomic structure:
Lattice parameters (Å, degrees): 6.2121 6.2121 4.5104 109.05 109.05 24.24
Sites, in units of the cell vectors:
B  0.0624  0.0624  0.2294
B  0.1402  0.1402  0.9566
B  0.2367  0.2367  0.3566
B  0.7633  0.7633  0.6434
B  0.8598  0.8598  0.0434
B  0.9376  0.9376  0.7706
C  0.3464  0.3464  0.2294
C  0.4452  0.4452  0.5420
C  0.5548  0.5548  0.4580
C  0.6536  0.6536  0.7706